No. 1
The following is a computed X-ray diffraction stick pattern of Li4VCr3O8. It was derived from the PBE+U geometry in the Materials Project, using Cu Kα X-rays.
No peak broadening, texture or thermal motion is included.

Cell and atoms:
a b c (Å): 5.1511 7.8681 7.8695
angles (deg): 94.18 96.35 108.79
Space group P-1 (No. 2)
Unique sites:
Li (0.0000, 0.0000, 0.0000) x1
Li (0.1257, 0.1240, 0.3751) x2
Li (0.2506, 0.2489, 0.7502) x2
Li (0.3741, 0.3747, 0.1234) x2
Li (0.5000, 0.5000, 0.5000) x1
V (0.0621, 0.5621, 0.6864) x2
Cr (0.1881, 0.6878, 0.0624) x2
Cr (0.3141, 0.8138, 0.4370) x2
Cr (0.4378, 0.9373, 0.8125) x2
O (0.0520, 0.7770, 0.8448) x2
O (0.0746, 0.3454, 0.5308) x2
O (0.1771, 0.9016, 0.2189) x2
O (0.1980, 0.4728, 0.9059) x2
O (0.3015, 0.0260, 0.5951) x2
O (0.3285, 0.6013, 0.2800) x2
O (0.4270, 0.1515, 0.9700) x2
O (0.4531, 0.7257, 0.6540) x2

Principal peaks in the range 2θ = 10–90°, by intensity:
- 2θ = 18.3°, intensity 100, (1 -1 0)
- 2θ = 43.0°, intensity 56, (1 -2 3)
- 2θ = 62.5°, intensity 29, (0 1 5)
- 2θ = 42.9°, intensity 28, (2 1 -1)
- 2θ = 35.4°, intensity 27, (0 2 2)
- 2θ = 62.3°, intensity 15, (1 4 1)
- 2θ = 35.2°, intensity 14, (1 2 -1)
- 2θ = 47.1°, intensity 13, (1 -4 1)
- 2θ = 57.0°, intensity 11, (2 -3 3)
- 2θ = 37.0°, intensity 11, (1 1 2)


No. 2
The following is a computed X-ray diffraction stick pattern of Li2MnFeP2O8. It was derived from the PBE+U geometry in the Materials Project, using Cu Kα X-rays.
No peak broadening, texture or thermal motion is included.

Cell and atoms:
a b c (Å): 4.7776 6.1322 10.5091
angles (deg): 90.00 90.17 90.00
Space group P2_1/m (No. 11)
Unique sites:
Li (0.0000, 0.0000, 0.0000) x2
Li (0.5000, 0.0000, 0.5000) x2
Mn (0.0243, 0.2500, 0.7191) x2
Fe (0.4715, 0.2500, 0.2183) x2
P (0.0912, 0.7500, 0.5944) x2
P (0.4162, 0.7500, 0.0916) x2
O (0.2103, 0.7500, 0.4566) x2
O (0.2271, 0.5485, 0.6634) x4
O (0.2305, 0.2500, 0.4015) x2
O (0.2621, 0.2500, 0.9053) x2
O (0.2851, 0.5478, 0.1622) x4
O (0.2911, 0.7500, 0.9549) x2

Principal peaks in the range 2θ = 10–90°, by intensity:
- 2θ = 35.0°, intensity 100, (1 1 -3)
- 2θ = 25.1°, intensity 82, (1 1 -1)
- 2θ = 29.1°, intensity 77, (0 2 0)
- 2θ = 20.4°, intensity 58, (1 0 1)
- 2θ = 51.5°, intensity 35, (2 2 2)
- 2θ = 35.8°, intensity 30, (1 2 1)
- 2θ = 16.9°, intensity 28, (0 0 2)
- 2θ = 31.7°, intensity 26, (1 0 3)
- 2θ = 55.5°, intensity 24, (1 3 -3)
- 2θ = 37.2°, intensity 21, (0 1 4)